Starting from a crystal structure in the Materials Project, relaxed with PBE+U, the powder diffraction line list of Li9Mn2Co5O16 was calculated for Cu Kα (weighted mean of Kα1 and Kα2).
Kinematic intensities with the Lorentz-polarization factor, no thermal factor.

Main lines, sorted by position (15 to 90 degrees two-theta):
| h k l | 2θ (°) | Rel. int. |
| --- | --- | --- |
| 0 1 -2 | 18.34 | 100 |
| -1 1 1 | 34.39 | 20 |
| 1 2 1 | 36.09 | 13 |
| 0 2 4 | 36.85 | 11 |
| 1 -2 1 | 41.32 | 34 |
| 1 3 -1 | 43.86 | 28 |
| 0 1 6 | 44.96 | 25 |
| 2 1 0 | 61.61 | 8 |
| 0 5 -2 | 62.06 | 8 |
| 1 2 -7 | 64.00 | 9 |

abc: 3.0155 7.7899 12.5057
angles: 89.50 89.77 82.15
Positions (direct):
Li1 0.0000 0.0000 0.0000
Li2 0.0594 0.8731 0.6902
Li3 0.1210 0.7480 0.3808
Li4 0.2440 0.4990 0.7481
Li5 0.3699 0.2493 0.1306
Li6 0.4994 0.9932 0.5065
Li7 0.6163 0.7536 0.8747
Li8 0.7482 0.4998 0.2516
Li9 0.8733 0.2487 0.6307
Mn1 0.5537 0.8727 0.1908
Mn2 0.8091 0.3735 0.9380
Co1 0.1831 0.6235 0.0642
Co2 0.3080 0.3766 0.4425
Co3 0.4480 0.1117 0.8097
Co4 0.6790 0.6350 0.5693
Co5 0.9283 0.1258 0.3186
O1 0.0508 0.9502 0.8430
O2 0.0756 0.7966 0.5373
O3 0.1801 0.6878 0.2139
O4 0.1893 0.5586 0.9147
O5 0.3057 0.4441 0.5878
O6 0.3521 0.3101 0.2944
O7 0.4297 0.1872 0.9583
O8 0.4562 0.0706 0.6727
O9 0.5001 0.9447 0.3402
O10 0.5642 0.8008 0.0408
O11 0.6626 0.6750 0.7066
O12 0.7310 0.5584 0.4224
O13 0.8090 0.4431 0.0885
O14 0.8222 0.3022 0.7903
O15 0.8928 0.1903 0.4661
O16 0.9247 0.0620 0.1671